# 1
This entry pairs a crystal structure of La2EuRh with its calculated powder XRD pattern. Radiation: Cu Kα X-rays. Structure: a DFT-relaxed cell (GGA-PBE, Alexandria).
Lines closer than 0.1° are merged.

Principal peaks in the range 10 to 80 degrees two-theta, by intensity:
2θ/deg  d/Å  I_rel  hkl
30.7  2.914  100  1 0 2
34.6  2.594  60  1 1 0
59.6  1.552  30  2 1 2
26.0  3.427  26  1 0 1
45.2  2.008  25  1 0 4
49.7  1.834  21  2 0 0
45.0  2.015  21  1 1 3
27.9  3.199  19  0 0 3
37.3  2.411  17  1 0 3
69.0  1.362  15  1 1 6
69.4  1.354  14  2 1 4
79.5  1.206  10  2 0 6

Unit cell a=3.668 b=3.668 c=9.598 alpha=90.00 beta=90.00 gamma=90.00
Atoms (fractional coordinates):
1 La 0.000 0.000 0.173
2 La 0.000 0.000 0.827
3 Eu 0.500 0.500 0.500
4 Rh 0.500 0.500 0.000


# 2
This entry pairs a crystal structure of K9Eu3Si12O32F2 with its calculated powder XRD pattern. Radiation: Cu Kα X-rays. Structure: a DFT-relaxed cell (GGA-PBE, Alexandria).
Lines closer than 0.1° are merged.

Principal peaks in the range 10 to 80 degrees two-theta, by intensity:
2θ/deg  d/Å  I_rel  hkl
26.4  3.377  100  1 0 3
27.8  3.205  88  2 2 0
29.1  3.068  73  1 2 3
27.0  3.306  70  2 0 -1
29.5  3.025  70  -1 3 1
30.0  2.982  62  1 2 -3
28.3  3.151  58  2 -1 0
32.6  2.746  57  0 4 -1
16.2  5.486  54  1 -1 0
27.5  3.239  53  0 3 2
32.2  2.784  43  -2 1 2
15.9  5.572  41  1 1 -1

Unit cell a=6.992 b=11.596 c=11.647 alpha=87.87 beta=89.78 gamma=79.94
Atoms (fractional coordinates):
1 K 0.000 0.000 0.000
2 K 0.229 0.383 0.982
3 K 0.328 0.191 0.222
4 K 0.335 0.149 0.788
5 K 0.485 0.670 0.491
6 K 0.515 0.330 0.509
7 K 0.665 0.851 0.212
8 K 0.672 0.809 0.778
9 K 0.771 0.617 0.018
10 Eu 0.014 0.510 0.665
11 Eu 0.500 0.000 0.500
12 Eu 0.986 0.490 0.335
13 Si 0.052 0.230 0.511
14 Si 0.155 0.909 0.303
15 Si 0.162 0.865 0.690
16 Si 0.191 0.696 0.157
17 Si 0.216 0.668 0.881
18 Si 0.484 0.487 0.257
19 Si 0.516 0.513 0.743
20 Si 0.784 0.332 0.119
21 Si 0.809 0.304 0.843
22 Si 0.838 0.135 0.310
23 Si 0.845 0.091 0.697
24 Si 0.948 0.770 0.489
25 O 0.002 0.650 0.207
26 O 0.007 0.797 0.624
27 O 0.026 0.373 0.515
28 O 0.043 0.603 0.842
29 O 0.046 0.996 0.726
30 O 0.114 0.816 0.406
31 O 0.191 0.836 0.183
32 O 0.209 0.691 0.018
33 O 0.214 0.798 0.816
34 O 0.269 0.164 0.543
35 O 0.313 0.426 0.313
36 O 0.340 0.968 0.330
37 O 0.343 0.509 0.653
38 O 0.357 0.873 0.620
39 O 0.401 0.624 0.210
40 O 0.434 0.586 0.860
41 O 0.566 0.414 0.140
42 O 0.599 0.376 0.790
43 O 0.643 0.127 0.380
44 O 0.657 0.491 0.347
45 O 0.660 0.032 0.670
46 O 0.687 0.574 0.687
47 O 0.731 0.836 0.457
48 O 0.786 0.202 0.184
49 O 0.791 0.309 0.982
50 O 0.809 0.164 0.817
51 O 0.886 0.184 0.594
52 O 0.954 0.004 0.274
53 O 0.957 0.397 0.158
54 O 0.974 0.627 0.485
55 O 0.993 0.203 0.376
56 O 0.998 0.350 0.793
57 F 0.255 0.155 0.005
58 F 0.745 0.845 0.995


# 3
This entry pairs a crystal structure of Pm4Dy15Th with its calculated powder XRD pattern. Radiation: Cu Kα X-rays. Structure: a DFT-relaxed cell (GGA-PBE, Alexandria).
Lines closer than 0.1° are merged.

Principal peaks in the range 10 to 80 degrees two-theta, by intensity:
2θ/deg  d/Å  I_rel  hkl
30.7  2.912  100  1 1 5
35.5  2.527  34  2 0 0
60.8  1.523  29  3 1 5
51.3  1.781  24  2 0 10
35.8  2.512  17  0 0 10
61.1  1.516  14  1 1 15
63.9  1.456  12  2 2 10
51.1  1.787  12  2 2 0
75.2  1.263  4  4 0 0
75.7  1.256  2  0 0 20

Unit cell a=5.054 b=5.054 c=25.115 alpha=90.00 beta=90.00 gamma=90.00
Atoms (fractional coordinates):
1 Pm 0.000 0.000 0.100
2 Pm 0.000 0.000 0.301
3 Pm 0.000 0.000 0.699
4 Pm 0.000 0.000 0.900
5 Dy 0.000 0.500 0.000
6 Dy 0.000 0.500 0.201
7 Dy 0.000 0.500 0.402
8 Dy 0.000 0.500 0.598
9 Dy 0.000 0.500 0.799
10 Dy 0.500 0.000 0.000
11 Dy 0.500 0.000 0.201
12 Dy 0.500 0.000 0.402
13 Dy 0.500 0.000 0.598
14 Dy 0.500 0.000 0.799
15 Dy 0.500 0.500 0.100
16 Dy 0.500 0.500 0.300
17 Dy 0.500 0.500 0.500
18 Dy 0.500 0.500 0.700
19 Dy 0.500 0.500 0.900
20 Th 0.000 0.000 0.500


# 4
This entry pairs a crystal structure of Dy4InSi with its calculated powder XRD pattern. Radiation: Cu Kα X-rays. Structure: a DFT-relaxed cell (GGA-PBE, Alexandria).
Lines closer than 0.1° are merged.

Principal peaks in the range 10 to 80 degrees two-theta, by intensity:
2θ/deg  d/Å  I_rel  hkl
31.7  2.824  100  2 0 -1
32.0  2.797  92  1 2 -1
34.2  2.623  78  0 2 2
33.1  2.704  75  1 0 -3
33.7  2.659  69  1 2 1
56.0  1.642  39  3 2 0
31.1  2.879  38  1 2 0
31.4  2.851  34  1 1 2
28.3  3.151  33  1 0 2
37.9  2.375  29  1 0 3
64.8  1.439  28  2 4 -1
56.8  1.621  25  2 2 3

Unit cell a=5.731 b=6.689 c=8.572 alpha=90.00 beta=99.31 gamma=90.00
Atoms (fractional coordinates):
1 Dy 0.153 0.250 0.052
2 Dy 0.187 0.750 0.362
3 Dy 0.337 0.508 0.749
4 Dy 0.337 0.992 0.749
5 Dy 0.663 0.008 0.251
6 Dy 0.663 0.492 0.251
7 Dy 0.813 0.250 0.638
8 Dy 0.847 0.750 0.948
9 In 0.234 0.250 0.421
10 In 0.766 0.750 0.579
11 Si 0.347 0.750 0.040
12 Si 0.653 0.250 0.960